The following is a theoretical PXRD pattern of SmZn3CuPt. It was derived from a PBE-relaxed structure, using Cu Kα.
No peak broadening, texture or thermal motion is included.

Principal peaks in the range 2θ = 10–80°, low angle first:
hkl 1 0 0, 19.48°, I = 17
hkl 0 0 1, 20.65°, I = 15
hkl 1 0 1, 28.54°, I = 22
hkl 1 1 0, 34.08°, I = 39
hkl 1 1 1, 40.18°, I = 100
hkl 0 0 2, 42.02°, I = 25
hkl 2 0 1, 45.03°, I = 15
hkl 1 1 2, 55.17°, I = 20
hkl 3 0 1, 65.13°, I = 24
hkl 1 1 3, 75.54°, I = 18

Crystal structure
```
6
Lattice="5.2616 0.0000 0.0000 -2.6308 4.5567 0.0000 0.0000 0.0000 4.3007" Properties=species:S:1:pos:R:3 pbc="T T T"
Sm 0.0000 0.0000 0.0000
Zn -1.2984 2.2882 2.1503
Zn 1.2984 2.2882 2.1503
Zn 0.0000 4.5371 2.1503
Cu 0.0000 3.0378 0.0000
Pt 2.6308 1.5189 0.0000
```